Structure and theoretical XRD peak list of Ac2GaPd6 (a crystal structure in OQMD, relaxed with PBE; Cu Ka).
Peak positions follow from Bragg's law for the DFT cell and can differ from measured ones.

Structural model:
Unit cell a=5.9455 b=5.9455 c=6.0120 alpha=90.00 beta=90.00 gamma=120.00
Space group P-3m1 (No. 164)
Asymmetric unit:
1 Ac 0.3333 0.6667 0.2995
2 Ga 0.0000 0.0000 0.5000
3 Pd 0.1706 0.3412 0.8094

Principal peaks in the range 10 to 90 degrees two-theta, low angle first:
| d [Å] | I (rel.) |
| --- | --- |
| 3.911 | 14 |
| 3.006 | 23 |
| 2.665 | 14 |
| 2.596 | 26 |
| 2.574 | 18 |
| 2.367 | 100 |
| 1.955 | 19 |
| 1.486 | 19 |
| 1.332 | 12 |
| 1.259 | 13 |